The following is a theoretical XRD peak list of Nd3CuSiS7. It was derived from the PBE geometry in the Materials Project, using Cu Kα (λ = 1.5418 Å).
Intensities are scaled so that the largest is 100.

Lattice parameters (Å, degrees): 10.194 10.194 5.793 90.00 90.00 120.00
Fractional coordinates of all 24 atoms:
Nd1 0.125 0.357 0.000
Nd2 0.232 0.875 0.000
Nd3 0.357 0.232 0.500
Nd4 0.643 0.768 0.000
Nd5 0.768 0.125 0.500
Nd6 0.875 0.643 0.500
Cu1 0.000 0.000 0.474
Cu2 0.000 0.000 0.974
Si1 0.333 0.667 0.586
Si2 0.667 0.333 0.086
S1 0.087 0.252 0.485
S2 0.112 0.588 0.730
S3 0.164 0.913 0.485
S4 0.252 0.164 0.985
S5 0.333 0.667 0.221
S6 0.412 0.524 0.730
S7 0.476 0.888 0.730
S8 0.524 0.112 0.230
S9 0.588 0.476 0.230
S10 0.667 0.333 0.721
S11 0.748 0.836 0.485
S12 0.836 0.087 0.985
S13 0.888 0.412 0.230
S14 0.913 0.748 0.985

Main lines, in order of rising 2θ (2θ = 10–90°):
2θ (°)	Rel. int.
23.24	42
25.37	100
26.72	39
30.88	41
35.22	41
36.70	56
39.98	51
41.27	52
47.53	35
48.69	30

=====

The following is a theoretical XRD peak list of Nd3CuSnS7. It was derived from the PBE geometry in the Materials Project, using Cu Kα (λ = 1.5418 Å).
Intensities are scaled so that the largest is 100.

Lattice parameters (Å, degrees): 10.164 10.164 6.129 90.00 90.00 120.00
Fractional coordinates of all 24 atoms:
Nd1 0.138 0.781 0.000
Nd2 0.219 0.357 0.000
Nd3 0.357 0.138 0.500
Nd4 0.643 0.862 0.000
Nd5 0.781 0.643 0.500
Nd6 0.862 0.219 0.500
Cu1 0.000 0.000 0.441
Cu2 0.000 0.000 0.941
Sn1 0.333 0.667 0.572
Sn2 0.667 0.333 0.072
S1 0.088 0.516 0.745
S2 0.101 0.846 0.457
S3 0.154 0.255 0.457
S4 0.255 0.101 0.957
S5 0.333 0.667 0.184
S6 0.428 0.912 0.745
S7 0.484 0.572 0.745
S8 0.516 0.428 0.245
S9 0.572 0.088 0.245
S10 0.667 0.333 0.684
S11 0.745 0.899 0.457
S12 0.846 0.745 0.957
S13 0.899 0.154 0.957
S14 0.912 0.484 0.245

Main lines, in order of rising 2θ (2θ = 10–90°):
2θ (°)	Rel. int.
20.18	17
24.91	100
29.14	24
35.32	53
35.70	23
36.81	18
39.74	16
40.00	25
46.42	26
49.16	18

=====

The following is a theoretical XRD peak list of NdCuSb2. It was derived from the PBE geometry in the Materials Project, using Cu Kα (λ = 1.5418 Å).
Intensities are scaled so that the largest is 100.

Lattice parameters (Å, degrees): 4.369 4.369 10.136 90.00 90.00 90.00
Fractional coordinates of all 8 atoms:
Nd1 0.250 0.250 0.249
Nd2 0.750 0.750 0.751
Cu1 0.250 0.750 0.500
Cu2 0.750 0.250 0.500
Sb1 0.250 0.250 0.654
Sb2 0.250 0.750 0.000
Sb3 0.750 0.250 0.000
Sb4 0.750 0.750 0.346

Main lines, in order of rising 2θ (2θ = 10–90°):
2θ (°)	Rel. int.
26.94	17
30.24	14
33.53	22
33.98	100
41.33	42
49.57	17
54.23	12
59.88	14
66.46	14
70.67	23

=====

The following is a theoretical XRD peak list of Nd5CuSe8. It was derived from the PBE geometry in the Materials Project, using Cu Kα (λ = 1.5418 Å).
Intensities are scaled so that the largest is 100.

Lattice parameters (Å, degrees): 7.701 7.701 7.701 110.31 110.31 107.80
Fractional coordinates of all 14 atoms:
Nd1 0.000 0.000 0.000
Nd2 0.133 0.252 0.623
Nd3 0.489 0.867 0.119
Nd4 0.629 0.511 0.377
Nd5 0.748 0.371 0.881
Cu1 0.250 0.750 0.500
Se1 0.011 0.615 0.759
Se2 0.228 0.488 0.129
Se3 0.359 0.099 0.871
Se4 0.385 0.143 0.396
Se5 0.512 0.641 0.740
Se6 0.748 0.989 0.604
Se7 0.857 0.252 0.241
Se8 0.901 0.772 0.260

Main lines, in order of rising 2θ (2θ = 10–90°):
2θ (°)	Rel. int.
24.28	14
24.66	21
31.27	46
32.13	100
37.50	39
37.93	24
38.19	26
47.89	18
53.01	12
65.18	13

=====

The following is a theoretical XRD peak list of Nd3CuSiSe7. It was derived from the PBE geometry in the Materials Project, using Cu Kα (λ = 1.5418 Å).
Intensities are scaled so that the largest is 100.

Lattice parameters (Å, degrees): 10.619 10.619 6.082 90.00 90.00 120.00
Fractional coordinates of all 24 atoms:
Nd1 0.127 0.356 0.000
Nd2 0.229 0.873 0.000
Nd3 0.356 0.229 0.500
Nd4 0.644 0.771 0.000
Nd5 0.771 0.127 0.500
Nd6 0.873 0.644 0.500
Cu1 0.000 0.000 0.472
Cu2 0.000 0.000 0.972
Si1 0.333 0.667 0.587
Si2 0.667 0.333 0.087
Se1 0.091 0.256 0.486
Se2 0.105 0.584 0.734
Se3 0.165 0.909 0.486
Se4 0.256 0.165 0.986
Se5 0.333 0.667 0.214
Se6 0.416 0.521 0.734
Se7 0.479 0.895 0.734
Se8 0.521 0.105 0.234
Se9 0.584 0.479 0.234
Se10 0.667 0.333 0.714
Se11 0.744 0.835 0.486
Se12 0.835 0.091 0.986
Se13 0.895 0.416 0.234
Se14 0.909 0.744 0.986

Main lines, in order of rising 2θ (2θ = 10–90°):
2θ (°)	Rel. int.
24.27	47
29.60	73
30.97	80
32.71	67
33.76	73
35.19	100
35.39	48
38.26	65
39.37	72
46.47	34

=====

The following is a theoretical XRD peak list of NdCuSn. It was derived from the PBE geometry in the Materials Project, using Cu Kα (λ = 1.5418 Å).
Intensities are scaled so that the largest is 100.

Lattice parameters (Å, degrees): 4.580 4.580 7.833 90.00 90.00 120.00
Fractional coordinates of all 6 atoms:
Nd1 0.000 0.000 0.000
Nd2 0.000 0.000 0.500
Cu1 0.333 0.667 0.250
Cu2 0.667 0.333 0.750
Sn1 0.333 0.667 0.750
Sn2 0.667 0.333 0.250

Main lines, in order of rising 2θ (2θ = 10–90°):
2θ (°)	Rel. int.
25.17	6
32.12	100
39.35	56
46.37	12
51.66	26
62.40	29
66.82	24
71.34	10
76.88	8
89.42	11

=====

The following is a theoretical XRD peak list of Nd2Cu3Sn3. It was derived from the PBE geometry in the Materials Project, using Cu Kα (λ = 1.5418 Å).
Intensities are scaled so that the largest is 100.

Lattice parameters (Å, degrees): 2.991 2.991 22.720 90.00 90.00 90.00
Fractional coordinates of all 8 atoms:
Nd1 0.000 0.000 0.243
Nd2 0.000 0.000 0.757
Cu1 0.000 0.000 0.118
Cu2 0.000 0.000 0.500
Cu3 0.000 0.000 0.882
Sn1 0.000 0.000 0.000
Sn2 0.000 0.000 0.388
Sn3 0.000 0.000 0.612

Main lines, in order of rising 2θ (2θ = 10–90°):
2θ (°)	Rel. int.
19.54	9
29.87	100
31.50	36
42.75	38
43.96	57
54.06	31
62.05	12
70.38	17
71.26	14
79.14	21

=====

The following is a theoretical XRD peak list of Nd3Cu4Sn4. It was derived from the PBE geometry in the Materials Project, using Cu Kα (λ = 1.5418 Å).
Intensities are scaled so that the largest is 100.

Lattice parameters (Å, degrees): 8.631 8.631 8.631 149.21 132.01 58.11
Fractional coordinates of all 11 atoms:
Nd1 0.000 0.000 0.000
Nd2 0.367 0.867 0.500
Nd3 0.633 0.133 0.500
Cu1 0.016 0.332 0.684
Cu2 0.352 0.668 0.684
Cu3 0.648 0.332 0.316
Cu4 0.984 0.668 0.316
Sn1 0.216 0.216 0.000
Sn2 0.299 0.500 0.799
Sn3 0.701 0.500 0.201
Sn4 0.784 0.784 0.000

Main lines, in order of rising 2θ (2θ = 10–90°):
2θ (°)	Rel. int.
32.29	26
32.68	95
33.31	100
35.69	22
39.32	45
42.61	23
44.25	25
59.35	22
67.14	19
75.11	17

=====

The following is a theoretical XRD peak list of NdCuSn. It was derived from the PBE geometry in the Materials Project, using Cu Kα (λ = 1.5418 Å).
Intensities are scaled so that the largest is 100.

Lattice parameters (Å, degrees): 4.621 4.621 7.635 90.00 90.00 120.00
Fractional coordinates of all 6 atoms:
Nd1 0.000 0.000 0.000
Nd2 0.000 0.000 0.500
Cu1 0.333 0.667 0.307
Cu2 0.667 0.333 0.807
Sn1 0.333 0.667 0.732
Sn2 0.667 0.333 0.232

Main lines, in order of rising 2θ (2θ = 10–90°):
2θ (°)	Rel. int.
25.13	12
32.41	100
38.99	64
42.08	12
51.57	27
63.19	20
66.50	25
70.62	11
78.91	8
89.67	8

=====

The following is a theoretical XRD peak list of Nd2CuTe4. It was derived from the PBE geometry in the Materials Project, using Cu Kα (λ = 1.5418 Å).
Intensities are scaled so that the largest is 100.

Lattice parameters (Å, degrees): 6.526 8.388 7.684 90.00 90.13 90.00
Fractional coordinates of all 14 atoms:
Nd1 0.000 0.000 0.226
Nd2 0.000 0.500 0.774
Nd3 0.495 0.887 0.764
Nd4 0.505 0.387 0.236
Cu1 0.184 0.648 0.413
Cu2 0.816 0.148 0.587
Te1 0.015 0.858 0.618
Te2 0.249 0.694 0.082
Te3 0.253 0.194 0.927
Te4 0.480 0.536 0.616
Te5 0.520 0.036 0.384
Te6 0.747 0.694 0.073
Te7 0.751 0.194 0.918
Te8 0.985 0.358 0.382

Main lines, in order of rising 2θ (2θ = 10–90°):
2θ (°)	Rel. int.
20.76	33
24.17	29
25.50	33
28.99	56
29.75	36
31.62	100
34.12	72
34.83	83
36.10	35
39.28	59

=====

The following is a theoretical XRD peak list of CuNi. It was derived from the PBE geometry in the Materials Project, using Cu Kα (λ = 1.5418 Å).
Intensities are scaled so that the largest is 100.

Lattice parameters (Å, degrees): 2.620 4.135 4.141 90.00 90.00 90.00
Fractional coordinates of all 4 atoms:
Cu1 0.000 0.000 0.000
Cu2 0.500 0.500 0.000
Ni1 0.000 0.500 0.500
Ni2 0.500 0.000 0.500

Main lines, in order of rising 2θ (2θ = 10–90°):
2θ (°)	Rel. int.
43.76	60
46.53	100
63.60	18
72.11	6
82.38	33
88.31	14

=====

The following is a theoretical XRD peak list of CuNi. It was derived from the PBE geometry in the Materials Project, using Cu Kα (λ = 1.5418 Å).
Intensities are scaled so that the largest is 100.

Lattice parameters (Å, degrees): 2.501 2.501 12.291 90.00 90.00 120.00
Fractional coordinates of all 6 atoms:
Cu1 0.000 0.000 0.000
Cu2 0.333 0.667 0.667
Cu3 0.667 0.333 0.333
Ni1 0.000 0.000 0.500
Ni2 0.333 0.667 0.167
Ni3 0.667 0.333 0.833

Main lines, in order of rising 2θ (2θ = 10–90°):
2θ (°)	Rel. int.
44.22	34
44.35	100
51.63	62
75.94	18
76.13	18

=====

The following is a theoretical XRD peak list of CuNi3. It was derived from the PBE geometry in the Materials Project, using Cu Kα (λ = 1.5418 Å).
Intensities are scaled so that the largest is 100.

Lattice parameters (Å, degrees): 3.536 3.536 6.968 90.00 90.00 90.00
Fractional coordinates of all 8 atoms:
Cu1 0.000 0.000 0.000
Cu2 0.500 0.500 0.500
Ni1 0.000 0.000 0.500
Ni2 0.000 0.500 0.250
Ni3 0.000 0.500 0.750
Ni4 0.500 0.000 0.250
Ni5 0.500 0.000 0.750
Ni6 0.500 0.500 0.000

Main lines, in order of rising 2θ (2θ = 10–90°):
2θ (°)	Rel. int.
44.60	100
51.70	31
52.53	15
76.14	9
76.81	18